(1)
Starting from DFT lattice parameters and positions (PBE), the X-ray powder pattern of Mn2NiSn was calculated for Cu Ka.

Peak list (8 most intense, 2θ from 5° to 70°, in order of rising 2θ)
2θ 25.51, intensity 12; 2θ 29.54, intensity 5; 2θ 42.27, intensity 100; 2θ 50.02, intensity 7; 2θ 52.41, intensity 1; 2θ 61.32, intensity 16; 2θ 67.52, intensity 3; 2θ 69.52, intensity 2

Crystal structure
abc: 6.0473 6.0473 6.0473
angles: 90.00 90.00 90.00
Space group F-43m (No. 216)
Asymmetric unit:
Mn 0.0000 0.0000 0.0000
Mn 0.2500 0.2500 0.2500
Ni 0.0000 0.0000 0.5000
Sn 0.2500 0.2500 0.7500


(2)
Starting from DFT lattice parameters and positions (PBE), the X-ray powder pattern of KMg6Cr was calculated for Cu Ka.

Peak list (12 most intense, 2θ from 5° to 70°, in order of rising 2θ)
2θ 30.88, intensity 26; 2θ 31.25, intensity 13; 2θ 34.02, intensity 37; 2θ 35.37, intensity 100; 2θ 35.70, intensity 48; 2θ 46.60, intensity 15; 2θ 55.39, intensity 16; 2θ 61.76, intensity 18; 2θ 61.98, intensity 9; 2θ 65.99, intensity 9; 2θ 66.62, intensity 18; 2θ 67.04, intensity 12

Crystal structure
abc: 5.2708 6.7134 11.4482
angles: 90.00 90.00 90.00
Space group Amm2 (No. 38)
Asymmetric unit:
K 0.0000 0.0000 0.0000
Mg 0.0000 0.2475 0.7481
Mg 0.5000 0.0000 0.3365
Mg 0.5000 0.0000 0.8222
Mg 0.5000 0.2273 0.5833
Cr 0.0000 0.0000 0.4995


(3)
Starting from DFT lattice parameters and positions (PBE), the X-ray powder pattern of Zr3Pt was calculated for Cu Ka.

Peak list (9 most intense, 2θ from 5° to 70°, in order of rising 2θ)
2θ 20.41, intensity 13; 2θ 29.02, intensity 11; 2θ 35.74, intensity 100; 2θ 41.51, intensity 49; 2θ 46.68, intensity 6; 2θ 51.44, intensity 5; 2θ 60.15, intensity 33; 2θ 64.22, intensity 3; 2θ 68.15, intensity 2

Crystal structure
abc: 4.3513 4.3513 4.3513
angles: 90.00 90.00 90.00
Space group Pm-3m (No. 221)
Asymmetric unit:
Zr 0.0000 0.0000 0.5000
Pt 0.5000 0.5000 0.5000